Diffraction record for Mn4Se4O15. The powder XRD pattern is computed, not measured: it uses a crystal structure in the Materials Project, relaxed with PBE+U and CuKα.
Peak positions follow from Bragg's law for the DFT cell and can differ from measured ones.

Peak list (10 most intense, 2θ from 10° to 80°, in order of rising 2θ)
d [Å]  intensity  hkl
5.981  61.0  0 1 1
5.890  49.7  1 1 0
3.752  49.2  1 2 0
3.194  69.0  1 2 1
3.155  64.6  1 0 -3
3.051  59.5  3 0 -1
2.991  65.8  0 2 2
2.905  100.0  2 2 -2
2.829  63.5  0 0 3
2.744  49.0  3 0 0

Cell and atoms:
a = 9.2575 Å, b = 8.4317 Å, c = 9.5420 Å
α = 90.00°, β = 117.22°, γ = 90.00°
Space group P2_1 (No. 4)
Inequivalent atoms, fractional coordinates:
Mn: 0.0440 0.0000 0.3577
Mn: 0.0466 0.4051 0.3363
Mn: 0.3187 0.4018 0.0134
Mn: 0.3347 0.0060 0.0164
Se: 0.0436 0.5794 0.0222
Se: 0.2514 0.1978 0.6731
Se: 0.3162 0.7094 0.7500
Se: 0.3802 0.1956 0.3582
O: 0.0465 0.4500 0.8772
O: 0.0664 0.9651 0.9026
O: 0.0938 0.0575 0.5897
O: 0.1140 0.7128 0.7180
O: 0.1449 0.3735 0.6057
O: 0.1829 0.1993 0.3505
O: 0.1955 0.8551 0.4200
O: 0.2087 0.5357 0.3801
O: 0.2414 0.5355 0.1527
O: 0.2787 0.1991 0.8660
O: 0.3217 0.1913 0.1495
O: 0.3796 0.8542 0.1531
O: 0.3926 0.8856 0.8562
O: 0.3972 0.5697 0.8986
O: 0.4391 0.0093 0.4096


Diffraction record for SrMnSe2O6. The powder XRD pattern is computed, not measured: it uses a crystal structure in the Materials Project, relaxed with PBE+U and CuKα.
Peak positions follow from Bragg's law for the DFT cell and can differ from measured ones.

Peak list (10 most intense, 2θ from 10° to 80°, in order of rising 2θ)
d [Å]  intensity  hkl
4.097  65.3  0 2 2
3.668  100.0  1 2 0
3.516  62.6  1 2 -2
3.502  34.7  0 3 2
3.179  41.0  0 1 3
3.120  64.7  1 3 -2
2.986  71.1  0 2 3
2.884  56.8  0 5 1
2.733  44.4  1 0 2
2.246  65.6  2 0 -2

Cell and atoms:
a = 4.5041 Å, b = 15.0930 Å, c = 10.4710 Å
α = 90.00°, β = 111.29°, γ = 90.00°
Space group P2_1/c (No. 14)
Inequivalent atoms, fractional coordinates:
Sr: 0.2073 0.1167 0.4650
Mn: 0.0149 0.1529 0.7912
Se: 0.1432 0.7010 0.4222
Se: 0.4561 0.9998 0.2193
O: 0.0711 0.5100 0.7153
O: 0.0898 0.2039 0.2503
O: 0.1293 0.1998 0.9964
O: 0.2270 0.6852 0.9332
O: 0.3469 0.5317 0.1118
O: 0.4625 0.1145 0.7703